Starting from the PBE geometry in the Materials Project, the powder XRD pattern of NdSi2Os2 was calculated for Cu Ka.
Peak positions follow from Bragg's law for the DFT cell and can differ from measured ones.

Principal peaks in the range 5 to 70 degrees two-theta, by angle:
Position (°2θ)	I (rel.)	index
17.93	269	0 0 2
22.93	123	1 0 1
34.53	145	1 0 3
35.15	1000	1 1 2
36.32	186	0 0 4
42.91	362	2 0 0
47.79	131	1 1 4
57.44	202	2 0 4
62.30	121	2 2 0
64.59	187	1 1 6

Atomic structure:
Cell: 4.2155 4.2155 9.8931 Å, 90.00 90.00 90.00°
Space group I4/mmm (No. 139)
Inequivalent atoms, fractional coordinates:
Nd  0.0000  0.0000  0.0000 [2 per cell]
Si  0.0000  0.0000  0.3677 [4 per cell]
Os  0.0000  0.5000  0.2500 [4 per cell]